# 1
K3Dy3MnSe8: simulated powder diffraction line list (CuKα), based on a cell relaxed with GGA-PBE.

Cell and atoms:
abc: 8.1666 8.1666 23.5066
angles: 90.00 90.00 120.00
Space group R-3m (No. 166, hexagonal axes)
Inequivalent atoms, fractional coordinates:
K1 0.0000 0.5000 0.0000 x9
Dy1 0.0000 0.5000 0.5000 x9
Mn1 0.0000 0.0000 0.5000 x3
Se1 0.0000 0.0000 0.2354 x6
Se2 0.0319 0.5159 0.2295 x18

Most intense lines, 2θ from 5° to 70°, in order of falling intensity:
2θ/deg  d/Å  I_rel  h k l
29.48  3.030  100.0  0 2 4
11.29  7.836  83.4  0 0 3
44.37  2.042  33.4  2 2 0
39.89  2.260  32.4  2 0 8
36.92  2.435  30.4  0 2 7
54.17  1.693  16.0  4 0 4
49.86  1.829  15.7  2 0 11
45.93  1.976  15.3  2 2 3
61.15  1.516  12.2  0 4 8
25.47  3.497  11.0  0 2 1
66.11  1.413  9.1  2 2 12
46.37  1.958  7.0  0 0 12

---

# 2
MgPt2: simulated powder diffraction line list (CuKα), based on a cell relaxed with GGA-PBE.

Cell and atoms:
abc: 4.8938 4.8938 4.5751
angles: 90.00 90.00 120.00
Space group P-62m (No. 189)
Inequivalent atoms, fractional coordinates:
Mg1 0.3333 0.6667 0.0000 x2
Pt1 0.0000 0.0000 0.0000 x1
Pt2 0.0000 0.3329 0.5000 x3

Most intense lines, 2θ from 5° to 70°, in order of falling intensity:
2θ/deg  d/Å  I_rel  h k l
41.87  2.158  100.0  1 1 1
36.73  2.447  33.8  1 1 0
39.39  2.288  24.9  0 0 2
19.40  4.575  24.0  0 0 1
54.95  1.671  21.6  1 1 2
66.15  1.413  16.5  3 0 0
20.96  4.238  15.2  1 0 0
28.71  3.109  13.9  1 0 1
69.66  1.350  4.8  3 0 1
45.04  2.013  4.3  1 0 2
47.27  1.923  3.8  2 0 1
61.32  1.512  3.5  2 1 1